Record 1
Diffraction record for TcMo3. The XRD peak list is theoretical, not measured: it uses the GGA-PBE geometry in Alexandria and Cu Kα (weighted mean of Kα1 and Kα2).
Peak positions follow from Bragg's law for the DFT cell and can differ from measured ones.

Peak list (4 most intense, 2θ from 10° to 90°, in order of rising 2θ)
| 2θ (°) | I (rel.) | (hkl) |
| --- | --- | --- |
| 40.57 | 100 | 2 2 0 |
| 58.73 | 16 | 4 0 1 |
| 73.82 | 33 | 6 0 0 |
| 87.81 | 11 | 4 4 0 |

Cell: 8.8925 8.8925 2.7239 Å, 90.00 90.00 120.00°
Space group R-3m (No. 166, hexagonal axes)
One atom of each set of equivalent atoms:
Tc 0.0000 0.0000 0.0000 (multiplicity 3)
Mo 0.0000 0.5000 0.0000 (multiplicity 9)

Record 2
Diffraction record for Tc8Mo. The XRD peak list is theoretical, not measured: it uses the GGA-PBE geometry in Alexandria and Cu Kα (weighted mean of Kα1 and Kα2).
Peak positions follow from Bragg's law for the DFT cell and can differ from measured ones.

Peak list (8 most intense, 2θ from 10° to 90°, in order of rising 2θ)
| 2θ (°) | I (rel.) | (hkl) |
| --- | --- | --- |
| 40.10 | 100 | 3 0 1 |
| 46.44 | 32 | 3 3 0 |
| 47.03 | 16 | 0 0 2 |
| 67.78 | 10 | 6 0 0 |
| 68.24 | 20 | 3 3 2 |
| 81.78 | 24 | 6 3 1 |
| 82.64 | 12 | 3 0 3 |
| 86.58 | 10 | 6 0 2 |

Cell: 8.295 8.295 3.864 Å, 90.00 90.00 90.00°
Space group I4/mmm (No. 139)
One atom of each set of equivalent atoms:
Tc 0.000 0.337 0.000 (multiplicity 8)
Tc 0.170 0.170 0.500 (multiplicity 8)
Mo 0.000 0.000 0.000 (multiplicity 2)

Record 3
Diffraction record for Tc3Mo. The XRD peak list is theoretical, not measured: it uses the GGA-PBE geometry in Alexandria and Cu Kα (weighted mean of Kα1 and Kα2).
Peak positions follow from Bragg's law for the DFT cell and can differ from measured ones.

Peak list (6 most intense, 2θ from 10° to 90°, in order of rising 2θ)
| 2θ (°) | I (rel.) | (hkl) |
| --- | --- | --- |
| 39.93 | 100 | 1 1 1 |
| 46.44 | 48 | 3 1 -1 |
| 67.77 | 30 | 0 2 0 |
| 81.63 | 27 | 5 1 -3 |
| 81.72 | 9 | 3 1 3 |
| 86.13 | 10 | 4 0 -4 |

Cell: 9.174 2.766 4.790 Å, 90.00 100.12 90.00°
Space group C2/m (No. 12)
One atom of each set of equivalent atoms:
Tc 0.000 0.000 0.000 (multiplicity 2)
Tc 0.246 0.500 0.242 (multiplicity 4)
Mo 0.000 0.500 0.500 (multiplicity 2)

Record 4
Diffraction record for TcMo3. The XRD peak list is theoretical, not measured: it uses the GGA-PBE geometry in Alexandria and Cu Kα (weighted mean of Kα1 and Kα2).
Peak positions follow from Bragg's law for the DFT cell and can differ from measured ones.

Peak list (8 most intense, 2θ from 10° to 90°, in order of rising 2θ)
| 2θ (°) | I (rel.) | (hkl) |
| --- | --- | --- |
| 40.55 | 100 | 1 0 1 |
| 40.66 | 20 | 0 2 0 |
| 58.72 | 19 | 1 2 1 |
| 73.71 | 20 | 1 1 3 |
| 73.91 | 20 | 0 3 2 |
| 87.58 | 2 | 2 0 2 |
| 87.80 | 9 | 0 2 4 |
| 88.04 | 2 | 0 4 0 |

Cell: 2.728 4.438 5.217 Å, 90.00 99.94 90.00°
Space group P2/m (No. 10)
One atom of each set of equivalent atoms:
Tc 0.000 0.000 0.000 (multiplicity 1)
Mo 0.258 0.500 0.751 (multiplicity 2)
Mo 0.500 0.000 0.500 (multiplicity 1)